No. 1
Computed powder diffractogram of GdDyHo2Al2 for Cu Kα (λ = 1.5418 Å), from a crystal structure in OQMD, relaxed with GGA-PBE.

Structural model:
```
6
Lattice="5.232 0.000 0.000 -2.616 4.531 0.000 0.000 0.000 6.637" Properties=species:S:1:pos:R:3 pbc="T T T"
Gd 0.000 0.000 0.000
Dy 0.000 3.020 3.319
Ho 2.616 1.510 1.667
Ho 2.616 1.510 4.971
Al 0.000 0.000 3.319
Al 0.000 3.020 0.000
```

Principal peaks in the range 5 to 70 degrees two-theta, in order of rising 2θ:
Position (°2θ), I_rel
19.59, 14
23.78, 46
33.47, 100
34.28, 87
42.15, 10
45.63, 8
48.67, 35
55.39, 17
60.87, 36
61.39, 16
66.76, 25
69.40, 5

=====

No. 2
Computed powder diffractogram of HoAuSeO for Cu Kα (λ = 1.5418 Å), from a crystal structure in OQMD, relaxed with GGA-PBE.

Structural model:
```
16
Lattice="5.551 0.000 0.000 0.000 9.593 0.000 0.000 0.000 5.599" Properties=species:S:1:pos:R:3 pbc="T T T"
Ho 0.000 1.090 1.400
Ho 0.000 8.502 4.199
Ho 2.775 1.090 4.199
Ho 2.775 8.502 1.400
Au 1.388 4.796 1.119
Au 1.388 4.796 3.918
Au 4.163 4.796 1.681
Au 4.163 4.796 4.480
Se 0.000 2.659 4.199
Se 0.000 6.934 1.400
Se 2.775 2.659 1.400
Se 2.775 6.934 4.199
O 1.388 0.000 0.007
O 1.388 0.000 2.806
O 4.163 0.000 2.793
O 4.163 0.000 5.592
```

Principal peaks in the range 5 to 70 degrees two-theta, in order of rising 2θ:
Position (°2θ), I_rel
9.22, 41
18.50, 55
27.90, 42
29.33, 100
31.97, 84
33.62, 84
36.17, 69
37.44, 58
47.07, 63
50.28, 31
58.31, 30
60.83, 32

=====

No. 3
Computed powder diffractogram of Er3In3CuIrPt for Cu Kα (λ = 1.5418 Å), from a crystal structure in OQMD, relaxed with GGA-PBE.

Structural model:
```
9
Lattice="7.601 0.000 0.000 -3.800 6.582 0.000 0.000 0.000 3.790" Properties=species:S:1:pos:R:3 pbc="T T T"
Er -2.184 4.883 0.000
Er 0.664 2.250 0.000
Er 1.520 6.032 0.000
In 2.848 0.525 1.895
In 2.831 3.853 1.895
In 5.722 2.204 1.895
Cu 3.800 2.194 0.000
Ir 0.000 4.388 1.895
Pt 0.000 0.000 1.895
```

Principal peaks in the range 5 to 70 degrees two-theta, in order of rising 2θ:
Position (°2θ), I_rel
13.45, 11
33.39, 75
36.13, 100
41.14, 27
43.51, 16
47.89, 9
48.01, 16
49.96, 11
55.90, 12
61.51, 16
65.03, 14
66.67, 20

=====

No. 4
Computed powder diffractogram of CuAg4 for Cu Kα (λ = 1.5418 Å), from a crystal structure in OQMD, relaxed with GGA-PBE.

Structural model:
```
10
Lattice="2.895 0.000 0.000 0.000 2.895 0.000 0.000 0.000 19.925" Properties=species:S:1:pos:R:3 pbc="T T T"
Cu 0.724 0.724 2.857
Cu 2.171 2.171 17.068
Ag 0.724 0.724 6.774
Ag 0.724 0.724 11.027
Ag 0.724 0.724 15.276
Ag 0.724 0.724 18.861
Ag 2.171 2.171 1.064
Ag 2.171 2.171 4.649
Ag 2.171 2.171 8.898
Ag 2.171 2.171 13.151
```

Principal peaks in the range 5 to 70 degrees two-theta, in order of rising 2θ:
Position (°2θ), I_rel
32.20, 2
35.88, 5
38.44, 100
40.76, 3
41.38, 3
44.25, 36
45.53, 11
61.72, 3
64.37, 11
65.36, 15
69.27, 2
69.38, 2

=====

No. 5
Computed powder diffractogram of Cu2Ag7 for Cu Kα (λ = 1.5418 Å), from a crystal structure in OQMD, relaxed with GGA-PBE.

Structural model:
```
9
Lattice="4.803 -1.453 0.000 4.803 1.453 0.000 -4.794 0.000 10.729" Properties=species:S:1:pos:R:3 pbc="T T T"
Cu 1.525 0.000 0.569
Cu 3.287 0.000 10.159
Ag -1.979 0.000 7.901
Ag -0.209 0.000 4.091
Ag 0.623 0.000 9.209
Ag 2.406 0.000 5.364
Ag 4.189 0.000 1.520
Ag 5.021 0.000 6.638
Ag 6.791 0.000 2.828
```

Principal peaks in the range 5 to 70 degrees two-theta, in order of rising 2θ:
Position (°2θ), I_rel
31.18, 4
34.61, 8
37.45, 6
38.43, 100
38.58, 90
43.94, 67
46.36, 19
57.72, 5
61.81, 7
63.66, 10
64.11, 10
65.78, 25

=====

No. 6
Computed powder diffractogram of Cu2Ag3 for Cu Kα (λ = 1.5418 Å), from a crystal structure in OQMD, relaxed with GGA-PBE.

Structural model:
```
10
Lattice="1.425 0.823 22.197 -1.425 0.823 22.197 0.000 -1.645 22.197" Properties=species:S:1:pos:R:3 pbc="T T T"
Cu 0.000 0.000 0.000
Cu 0.000 0.000 6.830
Cu 0.000 0.000 40.082
Cu 0.000 0.000 53.113
Ag 0.000 0.000 13.328
Ag 0.000 0.000 20.036
Ag 0.000 0.000 26.834
Ag 0.000 0.000 33.090
Ag 0.000 0.000 46.558
Ag 0.000 0.000 60.143
```

Principal peaks in the range 5 to 70 degrees two-theta, in order of rising 2θ:
Position (°2θ), I_rel
7.97, 3
28.14, 2
32.26, 5
36.46, 2
36.82, 2
38.92, 100
40.65, 26
41.21, 4
45.77, 59
60.33, 3
65.52, 20
67.92, 14

=====

No. 7
Computed powder diffractogram of La3Zn8Ag3 for Cu Kα (λ = 1.5418 Å), from a crystal structure in OQMD, relaxed with GGA-PBE.

Structural model:
```
14
Lattice="-2.292 4.514 6.845 2.292 -4.514 6.845 2.292 4.514 -6.845" Properties=species:S:1:pos:R:3 pbc="T T T"
La 0.000 0.000 0.000
La 0.000 0.000 4.098
La 0.000 0.000 9.591
Zn 2.292 -1.270 2.296
Zn 2.292 -1.977 4.967
Zn 2.292 1.270 2.296
Zn 0.000 2.537 1.878
Zn 2.292 1.977 4.967
Zn 0.000 3.244 4.548
Zn 0.000 6.490 1.878
Zn 0.000 5.784 4.548
Ag 2.292 2.637 0.000
Ag 0.000 4.514 0.000
Ag 0.000 1.877 6.845
```

Principal peaks in the range 5 to 70 degrees two-theta, in order of rising 2θ:
Position (°2θ), I_rel
28.51, 10
32.84, 13
34.11, 100
35.72, 32
38.11, 24
38.29, 12
39.31, 37
39.50, 20
54.17, 9
56.95, 13
67.95, 13
68.83, 10

=====

No. 8
Computed powder diffractogram of CuAg3 for Cu Kα (λ = 1.5418 Å), from a crystal structure in OQMD, relaxed with GGA-PBE.

Structural model:
```
8
Lattice="2.871 0.000 0.000 0.000 3.968 0.000 0.000 0.000 11.523" Properties=species:S:1:pos:R:3 pbc="T T T"
Cu 0.718 0.992 0.646
Cu 2.153 2.976 10.878
Ag 0.718 0.992 3.476
Ag 0.718 0.992 6.521
Ag 0.718 0.992 9.566
Ag 2.153 2.976 1.957
Ag 2.153 2.976 5.002
Ag 2.153 2.976 8.047
```

Principal peaks in the range 5 to 70 degrees two-theta, in order of rising 2θ:
Position (°2θ), I_rel
7.67, 3
27.29, 1
32.44, 5
38.67, 100
39.18, 3
44.56, 32
45.73, 16
55.85, 2
61.76, 2
64.72, 4
64.98, 5
65.76, 18